Computed PXRD pattern of ZnH12C2S2N4Cl2O4 for Cu Kα, 1.54184 Å, from a cell relaxed with PBE.
Intensities are scaled so that the largest is 100.

Unit cell a=13.9454 b=4.7069 c=8.6762 alpha=90.00 beta=90.00 gamma=90.00
Sites, in units of the cell vectors:
Zn 0.0000 0.0637 0.0000
Zn 0.5000 0.9363 0.5000
H 0.0783 0.5048 0.5810
H 0.1049 0.4115 0.1499
H 0.1215 0.7483 0.4339
H 0.1635 0.7735 0.6313
H 0.1713 0.1223 0.1114
H 0.1790 0.3291 0.8456
H 0.3210 0.6709 0.3456
H 0.3287 0.8777 0.6114
H 0.3365 0.2265 0.1313
H 0.3785 0.2517 0.9339
H 0.3951 0.5885 0.6499
H 0.4217 0.4952 0.0810
H 0.5783 0.4952 0.0810
H 0.6049 0.5885 0.6499
H 0.6215 0.2517 0.9339
H 0.6635 0.2265 0.1313
H 0.6713 0.8777 0.6114
H 0.6790 0.6709 0.3456
H 0.8210 0.3291 0.8456
H 0.8287 0.1223 0.1114
H 0.8365 0.7735 0.6313
H 0.8785 0.7483 0.4339
H 0.8951 0.4115 0.1499
H 0.9217 0.5048 0.5810
C 0.1391 0.6311 0.5393
C 0.3609 0.3689 0.0393
C 0.6391 0.3689 0.0393
C 0.8609 0.6311 0.5393
S 0.2307 0.3856 0.4989
S 0.2693 0.6144 0.9989
S 0.7307 0.6144 0.9989
S 0.7693 0.3856 0.4989
N 0.1257 0.2723 0.0641
N 0.1703 0.4388 0.9476
N 0.3297 0.5612 0.4476
N 0.3743 0.7277 0.5641
N 0.6257 0.7277 0.5641
N 0.6703 0.5612 0.4476
N 0.8297 0.4388 0.9476
N 0.8743 0.2723 0.0641
Cl 0.0000 0.0539 0.7462
Cl 0.0000 0.7685 0.2070
Cl 0.5000 0.2315 0.7070
Cl 0.5000 0.9461 0.2462
O 0.2063 0.2149 0.3663
O 0.2454 0.7579 0.1427
O 0.2546 0.2421 0.6427
O 0.2937 0.7851 0.8663
O 0.7063 0.7851 0.8663
O 0.7454 0.2421 0.6427
O 0.7546 0.7579 0.1427
O 0.7937 0.2149 0.3663

Largest 6 diffraction maxima, low angle first, 15° ≤ 2θ ≤ 90°:
(hkl)	2theta	intensity
0 0 2	20.47	45.6
1 1 1	22.42	40.0
2 1 0	22.79	100.0
2 1 1	25.03	61.1
4 0 0	25.55	46.8
4 1 1	33.62	43.4